No. 1
Diffraction record for MgMn6O7F5. The powder diffraction line list is computed, not measured: it uses the GGA+U geometry in the Materials Project and Cu Kα (λ = 1.5418 Å).

Structural model:
```
data_MgMn6O7F5
_chemical_formula_sum 'Mg1 Mn6 O7 F5'
_cell_length_a 5.179
_cell_length_b 5.753
_cell_length_c 7.927
_cell_angle_alpha 83.25
_cell_angle_beta 83.78
_cell_angle_gamma 81.52
_symmetry_space_group_name_H-M 'P 1'
_symmetry_Int_Tables_number 1
loop_
_symmetry_equiv_pos_as_xyz
'x,y,z'
loop_
_atom_site_label
_atom_site_type_symbol
_atom_site_fract_x
_atom_site_fract_y
_atom_site_fract_z
_atom_site_occupancy
Mg1 Mg 0.000 0.000 0.000 1
Mn1 Mn 0.478 0.174 0.828 1
Mn2 Mn 0.518 0.515 0.518 1
Mn3 Mn 0.534 0.885 0.188 1
Mn4 Mn 0.946 0.642 0.804 1
Mn5 Mn 0.951 0.006 0.497 1
Mn6 Mn 0.988 0.363 0.189 1
O1 O 0.288 0.156 0.061 1
O2 O 0.295 0.475 0.731 1
O3 O 0.688 0.217 0.611 1
O4 O 0.689 0.555 0.289 1
O5 O 0.689 0.878 0.926 1
O6 O 0.802 0.734 0.592 1
O7 O 0.839 0.063 0.245 1
F1 F 0.121 0.651 0.053 1
F2 F 0.161 0.973 0.761 1
F3 F 0.168 0.265 0.419 1
F4 F 0.286 0.800 0.419 1
F5 F 0.813 0.341 0.936 1
```

Largest 10 diffraction maxima, most intense first, 2θ from 15° to 90°:
index, 2θ/deg, intensity
1 1 1, 23.05, 100
-1 1 1, 27.55, 75
1 -1 2, 34.03, 54
0 0 3, 34.32, 22
-2 2 2, 56.87, 17
0 2 -1, 34.80, 17
-1 1 4, 53.38, 17
0 2 -4, 60.15, 16
1 -3 0, 54.09, 16
1 3 0, 49.15, 15


No. 2
Diffraction record for Li2FeBO4. The powder diffraction line list is computed, not measured: it uses the GGA+U geometry in the Materials Project and Cu Kα (λ = 1.5418 Å).

Structural model:
```
data_Li2FeBO4
_chemical_formula_sum 'Li4 Fe2 B2 O8'
_cell_length_a 5.815
_cell_length_b 5.358
_cell_length_c 4.801
_cell_angle_alpha 90.00
_cell_angle_beta 90.00
_cell_angle_gamma 90.00
_symmetry_space_group_name_H-M 'P m n 21'
_symmetry_Int_Tables_number 31
loop_
_symmetry_equiv_pos_as_xyz
'x,y,z'
'-x+1/2,-y,z+1/2'
'-x,y,z'
'x+1/2,-y,z+1/2'
loop_
_atom_site_label
_atom_site_type_symbol
_atom_site_fract_x
_atom_site_fract_y
_atom_site_fract_z
_atom_site_occupancy
Li1 Li 0.247 0.164 0.000 1
Fe1 Fe 0.000 0.358 0.503 1
B1 B 0.000 0.672 0.009 1
O1 O 0.000 0.408 0.900 1
O2 O 0.000 0.668 0.319 1
O3 O 0.213 0.806 0.911 1
```

Largest 10 diffraction maxima, most intense first, 2θ from 15° to 90°:
index, 2θ/deg, intensity
0 1 1, 24.90, 100
0 1 0, 16.54, 88
2 1 0, 35.12, 70
0 0 2, 37.47, 49
1 0 1, 24.04, 40
1 2 2, 53.64, 33
2 2 1, 50.04, 33
1 2 0, 36.94, 32
2 0 0, 30.75, 31
1 1 1, 29.32, 28


No. 3
Diffraction record for FeSO8. The powder diffraction line list is computed, not measured: it uses the GGA+U geometry in the Materials Project and Cu Kα (λ = 1.5418 Å).

Structural model:
```
data_FeSO8
_chemical_formula_sum 'Fe4 S4 O32'
_cell_length_a 6.669
_cell_length_b 8.854
_cell_length_c 11.637
_cell_angle_alpha 80.56
_cell_angle_beta 84.78
_cell_angle_gamma 88.06
_symmetry_space_group_name_H-M 'P -1'
_symmetry_Int_Tables_number 2
loop_
_symmetry_equiv_pos_as_xyz
'x,y,z'
'-x,-y,-z'
loop_
_atom_site_label
_atom_site_type_symbol
_atom_site_fract_x
_atom_site_fract_y
_atom_site_fract_z
_atom_site_occupancy
Fe1 Fe 0.179 0.440 0.068 1
Fe2 Fe 0.201 0.415 0.760 1
S1 S 0.089 0.313 0.347 1
S2 S 0.473 0.737 0.075 1
O1 O 0.008 0.200 0.741 1
O2 O 0.012 0.529 0.659 1
O3 O 0.034 0.866 0.917 1
O4 O 0.050 0.809 0.602 1
O5 O 0.101 0.479 0.906 1
O6 O 0.121 0.810 0.328 1
O7 O 0.163 0.298 0.222 1
O8 O 0.170 0.903 0.841 1
O9 O 0.261 0.304 0.418 1
O10 O 0.347 0.594 0.113 1
O11 O 0.350 0.873 0.058 1
O12 O 0.389 0.257 0.831 1
O13 O 0.399 0.288 0.034 1
O14 O 0.403 0.009 0.230 1
O15 O 0.413 0.429 0.610 1
O16 O 0.447 0.537 0.667 1
```

Largest 10 diffraction maxima, most intense first, 2θ from 15° to 90°:
index, 2θ/deg, intensity
1 2 1, 23.97, 100
1 1 1, 17.11, 62
-1 1 3, 28.56, 57
1 2 0, 24.18, 55
1 0 -3, 28.00, 44
1 1 0, 16.62, 43
1 -1 3, 29.37, 43
1 -2 0, 24.62, 40
2 -2 0, 34.24, 28
1 0 2, 19.56, 25


No. 4
Diffraction record for VP4O12. The powder diffraction line list is computed, not measured: it uses the GGA+U geometry in the Materials Project and Cu Kα (λ = 1.5418 Å).

Structural model:
```
data_VP4O12
_chemical_formula_sum 'V4 P16 O48'
_cell_length_a 11.696
_cell_length_b 8.322
_cell_length_c 10.189
_cell_angle_alpha 90.00
_cell_angle_beta 119.14
_cell_angle_gamma 90.00
_symmetry_space_group_name_H-M 'C 1 2/c 1'
_symmetry_Int_Tables_number 15
loop_
_symmetry_equiv_pos_as_xyz
'x,y,z'
'-x,-y,-z'
'-x,y,-z+1/2'
'x,-y,z+1/2'
'x+1/2,y+1/2,z'
'-x+1/2,-y+1/2,-z'
'-x+1/2,y+1/2,-z+1/2'
'x+1/2,-y+1/2,z+1/2'
loop_
_atom_site_label
_atom_site_type_symbol
_atom_site_fract_x
_atom_site_fract_y
_atom_site_fract_z
_atom_site_occupancy
V1 V 0.000 0.053 0.250 1
P1 P 0.009 0.255 0.982 1
P2 P 0.202 0.483 0.196 1
O1 O 0.027 0.223 0.398 1
O2 O 0.029 0.118 0.900 1
O3 O 0.093 0.375 0.640 1
O4 O 0.141 0.359 0.055 1
O5 O 0.181 0.053 0.315 1
O6 O 0.226 0.418 0.339 1
```

Largest 10 diffraction maxima, most intense first, 2θ from 15° to 90°:
index, 2θ/deg, intensity
0 2 2, 29.39, 100
1 1 -2, 20.47, 78
2 2 0, 27.65, 62
2 0 -2, 19.03, 61
3 1 0, 28.32, 51
3 1 -2, 26.29, 46
2 0 0, 17.36, 33
4 0 0, 35.14, 19
7 1 -2, 57.11, 17
1 3 -3, 42.50, 16


No. 5
Diffraction record for Li5Fe11O16. The powder diffraction line list is computed, not measured: it uses the GGA+U geometry in the Materials Project and Cu Kα (λ = 1.5418 Å).

Structural model:
```
data_Li5Fe11O16
_chemical_formula_sum 'Li10 Fe22 O32'
_cell_length_a 10.337
_cell_length_b 6.013
_cell_length_c 10.362
_cell_angle_alpha 90.00
_cell_angle_beta 108.72
_cell_angle_gamma 90.00
_symmetry_space_group_name_H-M 'C 1 2/m 1'
_symmetry_Int_Tables_number 12
loop_
_symmetry_equiv_pos_as_xyz
'x,y,z'
'-x,-y,-z'
'-x,y,-z'
'x,-y,z'
'x+1/2,y+1/2,z'
'-x+1/2,-y+1/2,-z'
'-x+1/2,y+1/2,-z'
'x+1/2,-y+1/2,z'
loop_
_atom_site_label
_atom_site_type_symbol
_atom_site_fract_x
_atom_site_fract_y
_atom_site_fract_z
_atom_site_occupancy
Li1 Li 0.000 0.000 0.000 1
Li2 Li 0.250 0.250 0.000 1
Li3 Li 0.250 0.250 0.500 1
Fe1 Fe 0.000 0.000 0.500 1
Fe2 Fe 0.000 0.500 0.000 1
Fe3 Fe 0.000 0.500 0.500 1
Fe4 Fe 0.001 0.246 0.752 1
Fe5 Fe 0.246 0.000 0.246 1
Fe6 Fe 0.246 0.500 0.250 1
O1 O 0.120 0.500 0.370 1
O2 O 0.122 0.000 0.373 1
O3 O 0.123 0.500 0.873 1
O4 O 0.124 0.000 0.865 1
O5 O 0.124 0.253 0.125 1
O6 O 0.126 0.251 0.623 1
```

Largest 10 diffraction maxima, most intense first, 2θ from 15° to 90°:
index, 2θ/deg, intensity
2 2 2, 42.46, 100
0 0 2, 18.09, 62
4 0 -4, 43.02, 48
0 0 4, 36.67, 30
2 2 -2, 36.75, 30
2 2 -6, 61.97, 27
6 2 -2, 62.10, 27
2 2 0, 35.01, 20
4 4 -4, 78.14, 19
4 0 4, 61.51, 14